1.
Computed powder X-ray diffraction pattern
Compound: Sr2In2AgPd5
Radiation: Cu Kα (λ = 1.5418 Å)
Structure: a cell relaxed with PBE
Peak positions follow from Bragg's law for the DFT cell and can differ from measured ones.

Cell and atoms:
Cell: 10.7923 10.7923 3.6587 Å, 90.00 90.00 90.00°
Atoms (fractional coordinates):
Sr  0.1725  0.3275  0.0000
Sr  0.3275  0.8275  0.0000
Sr  0.6725  0.1725  0.0000
Sr  0.8275  0.6725  0.0000
In  0.1286  0.6286  0.0000
In  0.3714  0.1286  0.0000
In  0.6286  0.8714  0.0000
In  0.8714  0.3714  0.0000
Ag  0.0000  0.0000  0.0000
Ag  0.5000  0.5000  0.0000
Pd  0.0000  0.5000  0.5000
Pd  0.0595  0.8069  0.5000
Pd  0.1931  0.0595  0.5000
Pd  0.3069  0.5595  0.5000
Pd  0.4405  0.3069  0.5000
Pd  0.5000  0.0000  0.5000
Pd  0.5595  0.6931  0.5000
Pd  0.6931  0.4405  0.5000
Pd  0.8069  0.9405  0.5000
Pd  0.9405  0.1931  0.5000

Top 10 peaks for 2θ from 10° to 80°, most intense first:
2θ 36.0, rel. 100
2θ 38.9, rel. 34
2θ 34.3, rel. 30
2θ 49.8, rel. 18
2θ 35.3, rel. 18
2θ 33.9, rel. 16
2θ 18.4, rel. 13
2θ 41.6, rel. 12
2θ 37.3, rel. 11
2θ 61.9, rel. 10

---

2.
Computed powder X-ray diffraction pattern
Compound: YInAgPd
Radiation: Cu Kα (λ = 1.5418 Å)
Structure: a cell relaxed with PBE
Peak positions follow from Bragg's law for the DFT cell and can differ from measured ones.

Cell and atoms:
Cell: 4.8853 4.8853 4.8853 Å, 60.00 60.00 60.00°
Atoms (fractional coordinates):
Y  0.0000  0.0000  0.0000
In  0.5000  0.5000  0.5000
Ag  0.2500  0.2500  0.2500
Pd  0.7500  0.7500  0.7500

Top 5 peaks for 2θ from 10° to 80°, most intense first:
2θ 36.8, rel. 100
2θ 66.3, rel. 34
2θ 53.0, rel. 17
2θ 78.3, rel. 10
2θ 22.3, rel. 1

---

3.
Computed powder X-ray diffraction pattern
Compound: PmIn3Ag3
Radiation: Cu Kα (λ = 1.5418 Å)
Structure: a cell relaxed with PBE
Peak positions follow from Bragg's law for the DFT cell and can differ from measured ones.

Cell and atoms:
Cell: 7.4195 7.4195 7.4195 Å, 69.58 69.58 69.58°
Atoms (fractional coordinates):
Pm  0.1654  0.1654  0.1654
Pm  0.8346  0.8346  0.8346
In  0.0338  0.7238  0.3803
In  0.2762  0.6197  0.9662
In  0.3803  0.0338  0.7238
In  0.6197  0.9662  0.2762
In  0.7238  0.3803  0.0338
In  0.9662  0.2762  0.6197
Ag  0.1658  0.4509  0.7347
Ag  0.2653  0.8342  0.5491
Ag  0.4509  0.7347  0.1658
Ag  0.5491  0.2653  0.8342
Ag  0.7347  0.1658  0.4509
Ag  0.8342  0.5491  0.2653

Top 10 peaks for 2θ from 10° to 80°, most intense first:
2θ 38.6, rel. 100
2θ 36.8, rel. 89
2θ 54.4, rel. 26
2θ 26.4, rel. 23
2θ 67.5, rel. 22
2θ 21.0, rel. 22
2θ 34.1, rel. 12
2θ 71.1, rel. 11
2θ 60.2, rel. 10
2θ 32.8, rel. 10

---

4.
Computed powder X-ray diffraction pattern
Compound: Pm2In2Ag3
Radiation: Cu Kα (λ = 1.5418 Å)
Structure: a cell relaxed with PBE
Peak positions follow from Bragg's law for the DFT cell and can differ from measured ones.

Cell and atoms:
Cell: 10.6378 10.6378 8.0450 Å, 90.00 90.00 157.56°
Atoms (fractional coordinates):
Pm  0.0556  0.9444  0.7500
Pm  0.1473  0.8527  0.2500
Pm  0.8527  0.1473  0.7500
Pm  0.9444  0.0556  0.2500
In  0.3161  0.6839  0.0548
In  0.3161  0.6839  0.4452
In  0.6839  0.3161  0.5548
In  0.6839  0.3161  0.9452
Ag  0.2352  0.7648  0.7500
Ag  0.4431  0.5569  0.5752
Ag  0.4431  0.5569  0.9248
Ag  0.5569  0.4431  0.0752
Ag  0.5569  0.4431  0.4248
Ag  0.7648  0.2352  0.2500

Top 10 peaks for 2θ from 10° to 80°, most intense first:
2θ 32.4, rel. 100
2θ 31.3, rel. 73
2θ 37.7, rel. 43
2θ 43.7, rel. 34
2θ 59.1, rel. 22
2θ 66.2, rel. 19
2θ 27.9, rel. 16
2θ 34.4, rel. 15
2θ 42.2, rel. 15
2θ 50.5, rel. 13

---

5.
Computed powder X-ray diffraction pattern
Compound: Pm4InAg3
Radiation: Cu Kα (λ = 1.5418 Å)
Structure: a cell relaxed with PBE
Peak positions follow from Bragg's law for the DFT cell and can differ from measured ones.

Cell and atoms:
Cell: 3.7561 5.3506 10.6143 Å, 90.00 90.00 90.00°
Atoms (fractional coordinates):
Pm  0.0000  0.0000  0.0000
Pm  0.0000  0.0000  0.5000
Pm  0.0000  0.5000  0.2446
Pm  0.0000  0.5000  0.7554
In  0.5000  0.5000  0.5000
Ag  0.5000  0.0000  0.2522
Ag  0.5000  0.0000  0.7478
Ag  0.5000  0.5000  0.0000

Top 10 peaks for 2θ from 10° to 80°, most intense first:
2θ 33.7, rel. 100
2θ 60.4, rel. 22
2θ 33.5, rel. 20
2θ 60.0, rel. 15
2θ 48.3, rel. 14
2θ 70.8, rel. 9
2θ 60.2, rel. 7
2θ 48.5, rel. 7
2θ 23.6, rel. 2
2θ 70.4, rel. 2

---

6.
Computed powder X-ray diffraction pattern
Compound: Pm4In5Ag2
Radiation: Cu Kα (λ = 1.5418 Å)
Structure: a cell relaxed with PBE
Peak positions follow from Bragg's law for the DFT cell and can differ from measured ones.

Cell and atoms:
Cell: 7.9310 3.5837 10.2835 Å, 90.00 94.27 90.00°
Atoms (fractional coordinates):
Pm  0.1691  0.0000  0.3805
Pm  0.2659  0.0000  0.9426
Pm  0.7341  0.0000  0.0574
Pm  0.8309  0.0000  0.6195
In  0.1896  0.5000  0.6634
In  0.4400  0.5000  0.1994
In  0.5000  0.5000  0.5000
In  0.5600  0.5000  0.8006
In  0.8104  0.5000  0.3366
Ag  0.0625  0.5000  0.1340
Ag  0.9375  0.5000  0.8660

Top 10 peaks for 2θ from 10° to 80°, most intense first:
2θ 36.0, rel. 100
2θ 32.0, rel. 59
2θ 33.0, rel. 53
2θ 34.5, rel. 46
2θ 33.8, rel. 43
2θ 64.0, rel. 36
2θ 35.3, rel. 31
2θ 37.3, rel. 30
2θ 51.0, rel. 25
2θ 36.3, rel. 23